The following is a calculated PXRD pattern of Mn3Be. It was derived from a cell relaxed with GGA-PBE, using copper Kα.
Peak positions follow from Bragg's law for the DFT cell and can differ from measured ones.

```
Mn3Be
1.0
-1.3800 1.9101 3.8116
1.3800 -1.9101 3.8116
1.3800 1.9101 -3.8116
Mn Be
3 1
Direct
0.0000 0.0000 0.0000 Mn
0.2487 0.7487 0.5000 Mn
0.7513 0.2513 0.5000 Mn
0.5000 0.5000 0.0000 Be
```

Largest 10 diffraction maxima, by intensity, 15 to 90 degrees two-theta:
two_theta, I (rel.)
47.10, 100
47.61, 24
47.72, 24
26.09, 23
87.17, 15
23.34, 15
88.33, 14
88.50, 14
69.70, 14
34.56, 10